Entry 1:
# Pu5SnAu2
Simulated XRD peak list, Cu Kα X-rays. Input: DFT lattice parameters and positions (PBE).
Peak positions follow from Bragg's law for the DFT cell and can differ from measured ones.

Largest 10 diffraction maxima, by intensity, 2θ from 15° to 90°:
2θ = 35.88°, d = 2.503 Å, intensity 100
2θ = 36.48°, d = 2.463 Å, intensity 96
2θ = 32.57°, d = 2.750 Å, intensity 64
2θ = 33.10°, d = 2.706 Å, intensity 62
2θ = 47.12°, d = 1.929 Å, intensity 47
2θ = 60.28°, d = 1.535 Å, intensity 23
2θ = 60.54°, d = 1.529 Å, intensity 23
2θ = 60.68°, d = 1.526 Å, intensity 23
2θ = 66.98°, d = 1.397 Å, intensity 17
2θ = 56.75°, d = 1.622 Å, intensity 14

Cell and atoms:
```
Pu5SnAu2
1.0
6.249 0.000 0.000
-3.005 5.622 0.000
-1.615 -2.814 5.499
Pu Sn Au
5 1 2
Direct
0.000 0.000 0.000
0.000 0.000 0.500
0.000 0.500 0.000
0.500 0.000 0.000
0.500 0.500 0.500
0.500 0.500 0.000
0.000 0.500 0.500
0.500 0.000 0.500
```

=====

Entry 2:
# PuSnAu11
Simulated XRD peak list, Cu Kα X-rays. Input: DFT lattice parameters and positions (PBE).
Peak positions follow from Bragg's law for the DFT cell and can differ from measured ones.

Largest 10 diffraction maxima, by intensity, 2θ from 15° to 90°:
2θ = 37.21°, d = 2.416 Å, intensity 100
2θ = 32.07°, d = 2.791 Å, intensity 54
2θ = 36.08°, d = 2.490 Å, intensity 41
2θ = 38.37°, d = 2.346 Å, intensity 40
2θ = 41.08°, d = 2.197 Å, intensity 38
2θ = 42.48°, d = 2.128 Å, intensity 34
2θ = 67.13°, d = 1.394 Å, intensity 26
2θ = 40.44°, d = 2.230 Å, intensity 16
2θ = 61.34°, d = 1.511 Å, intensity 14
2θ = 64.90°, d = 1.437 Å, intensity 12

Cell and atoms:
```
PuSnAu11
1.0
2.795 -6.571 0.000
2.795 6.571 0.000
-2.789 0.000 7.113
Pu Sn Au
1 1 11
Direct
0.000 0.000 0.000
0.000 0.000 0.500
0.000 0.500 0.000
0.005 0.652 0.660
0.287 0.499 0.790
0.348 0.995 0.340
0.499 0.287 0.790
0.500 0.000 0.000
0.500 0.500 0.500
0.501 0.713 0.210
0.652 0.005 0.660
0.713 0.501 0.210
0.995 0.348 0.340
```

=====

Entry 3:
# Pu2ZnSnAu6
Simulated XRD peak list, Cu Kα X-rays. Input: DFT lattice parameters and positions (PBE).
Peak positions follow from Bragg's law for the DFT cell and can differ from measured ones.

Largest 10 diffraction maxima, by intensity, 2θ from 15° to 90°:
2θ = 35.67°, d = 2.517 Å, intensity 100
2θ = 38.56°, d = 2.335 Å, intensity 88
2θ = 34.58°, d = 2.594 Å, intensity 75
2θ = 39.08°, d = 2.305 Å, intensity 68
2θ = 38.09°, d = 2.362 Å, intensity 48
2θ = 40.63°, d = 2.220 Å, intensity 46
2θ = 33.28°, d = 2.692 Å, intensity 41
2θ = 34.77°, d = 2.580 Å, intensity 37
2θ = 31.29°, d = 2.859 Å, intensity 31
2θ = 57.26°, d = 1.609 Å, intensity 28

Cell and atoms:
```
Pu2ZnSnAu6
1.0
5.309 0.000 0.000
0.928 6.336 0.000
1.813 2.661 6.384
Pu Zn Sn Au
2 1 1 6
Direct
0.104 0.460 0.233
0.896 0.540 0.767
0.000 0.000 0.000
0.500 0.500 0.500
0.158 0.909 0.352
0.350 0.839 0.726
0.401 0.244 0.937
0.599 0.756 0.063
0.650 0.161 0.274
0.842 0.091 0.648
```

=====

Entry 4:
# PuTcAu
Simulated XRD peak list, Cu Kα X-rays. Input: DFT lattice parameters and positions (PBE).
Peak positions follow from Bragg's law for the DFT cell and can differ from measured ones.

Largest 10 diffraction maxima, by intensity, 2θ from 15° to 90°:
2θ = 33.15°, d = 2.702 Å, intensity 100
2θ = 34.78°, d = 2.580 Å, intensity 65
2θ = 41.87°, d = 2.157 Å, intensity 36
2θ = 39.26°, d = 2.295 Å, intensity 32
2θ = 32.81°, d = 2.730 Å, intensity 25
2θ = 71.51°, d = 1.319 Å, intensity 23
2θ = 42.95°, d = 2.106 Å, intensity 21
2θ = 30.96°, d = 2.889 Å, intensity 20
2θ = 61.52°, d = 1.507 Å, intensity 18
2θ = 37.55°, d = 2.395 Å, intensity 14

Cell and atoms:
```
PuTcAu
1.0
4.855 -2.157 0.000
4.855 2.157 0.000
-3.878 0.000 5.939
Pu Tc Au
2 2 2
Direct
0.072 0.072 0.313
0.928 0.928 0.687
0.369 0.369 0.339
0.631 0.631 0.661
0.322 0.322 0.915
0.678 0.678 0.085
```